Diffraction record for NaCa4Ir. The X-ray diffraction stick pattern is simulated, not measured: it uses a cell relaxed with GGA-PBE and a wavelength of 1.5418 Å.

Crystal structure
```
data_NaCa4Ir
_chemical_formula_sum 'Na4 Ca16 Ir4'
_cell_length_a 9.714
_cell_length_b 13.671
_cell_length_c 6.445
_cell_angle_alpha 90.00
_cell_angle_beta 108.41
_cell_angle_gamma 90.00
_space_group_name_H-M_alt 'C 1 2/c 1'
_space_group_IT_number 15
_space_group_name_Hall '-C 2yc'
loop_
_atom_site_label
_atom_site_fract_x
_atom_site_fract_y
_atom_site_fract_z
Na1 0.000 0.117 0.250
Ca1 0.102 0.336 0.554
Ca2 0.250 0.079 0.880
Ir1 0.000 0.500 0.250
```

The 10 most intense peaks (10° ≤ 2θ ≤ 90°), in order of falling intensity:
d (Å)	2theta	I_rel	hkl
7.642	11.58	100	1 1 0
6.835	12.95	36	0 2 0
2.631	34.08	14	1 3 -2
2.612	34.34	11	1 1 2
2.767	32.36	11	2 2 -2
2.042	44.35	11	2 6 0
2.791	32.07	10	0 2 2
2.621	34.21	10	1 5 0
4.085	21.76	10	1 3 0
2.573	34.86	9	3 1 -2